Starting from a cell relaxed with GGA-PBE, the powder diffraction line list of PmPr8Y3 was simulated for CuKα.

Crystal structure
Unit cell a=8.877 b=8.877 c=11.705 alpha=90.00 beta=90.00 gamma=90.00
Space group I-42m (No. 121)
Symmetry-distinct sites (fractional):
Pm 0.000 0.000 0.000
Pr 0.124 0.124 0.250
Pr 0.249 0.249 0.503
Y 0.000 0.000 0.500
Y 0.000 0.500 0.250

Peak list (10 most intense, 2θ = 10–90°, sorted by position)
d (Å), intensity, (hkl)
6.277, 56, 1 1 0
3.759, 94, 2 1 1
3.536, 67, 2 0 2
3.138, 90, 2 2 0
2.926, 92, 0 0 4
2.783, 43, 2 1 3
2.766, 51, 2 2 2
2.531, 100, 3 1 2
2.140, 61, 2 2 4
2.075, 81, 4 0 2